This entry pairs a crystal structure of PrNdNi2Ge4 with its simulated XRD peak list. Radiation: Cu Kα. Structure: a crystal structure in OQMD, relaxed with PBE.

Cell lengths 4.265, 4.249, 8.675 Å; angles 90.00, 103.95, 90.00 degrees
Atoms (fractional coordinates):
Pr1 0.000 0.000 0.000
Nd1 0.224 0.500 0.433
Ni1 0.433 0.500 0.852
Ni2 0.790 0.000 0.580
Ge1 0.358 0.000 0.716
Ge2 0.560 0.500 0.132
Ge3 0.665 0.000 0.302
Ge4 0.864 0.500 0.715

Main lines, in order of falling intensity (10 to 80 degrees two-theta):
2θ (°), intensity, h k l
33.8, 1000, 1 1 1
33.8, 693, 1 1 -2
38.4, 451, 0 1 3
42.4, 430, 2 0 -1
42.6, 427, 0 2 0
30.2, 303, 1 1 0
34.0, 300, 1 0 -3
61.6, 276, 2 2 -1